Structure and simulated X-ray diffraction stick pattern of CdRh2AuC (a cell relaxed with PBE; CuKα).
Neutral-atom scattering factors, no anomalous dispersion.

The 10 most intense peaks (15 to 90 degrees two-theta), in order of rising 2θ:
17.34°, I = 48, (0 0 1); 17.82°, I = 100, (1 0 0); 35.10°, I = 30, (0 0 2); 36.10°, I = 56, (2 0 0); 39.63°, I = 28, (1 0 2); 40.31°, I = 24, (2 0 1); 40.54°, I = 26, (2 1 0); 51.23°, I = 41, (2 0 2); 54.68°, I = 22, (2 1 2); 64.27°, I = 20, (2 2 2)

Structure:
```
data_CdRh2AuC
_chemical_formula_sum 'Cd1 Rh2 Au1 C1'
_space_group_name_H-M_alt 'P 4/m m m'
_space_group_IT_number 123
_space_group_name_Hall '-P 4 2'
_cell_length_a 4.976
_cell_length_b 4.976
_cell_length_c 5.113
_cell_angle_alpha 90.00
_cell_angle_beta 90.00
_cell_angle_gamma 90.00
loop_
_atom_site_label
_atom_site_fract_x
_atom_site_fract_y
_atom_site_fract_z
Cd1 0.000 0.000 0.000
Rh1 0.000 0.500 0.500
Au1 0.000 0.000 0.500
C1 0.500 0.500 0.000
```